[1]
Structure and calculated X-ray diffraction stick pattern of TbHg6Pd12 (a PBE-relaxed structure; a wavelength of 1.5418 Å).
No peak broadening, texture or thermal motion is included.

Atomic structure:
Cell lengths 7.2269, 7.2269, 7.2269 Å; angles 101.61, 101.61, 101.61 degrees
Fractional positions:
Tb1 0.0000 0.0000 0.0000
Hg1 0.1759 0.1784 0.4441
Hg2 0.1784 0.4441 0.1759
Hg3 0.4441 0.1759 0.1784
Hg4 0.5559 0.8241 0.8216
Hg5 0.8216 0.5559 0.8241
Hg6 0.8241 0.8216 0.5559
Pd1 0.0006 0.7437 0.2550
Pd2 0.1814 0.5943 0.5926
Pd3 0.2550 0.0006 0.7437
Pd4 0.2563 0.7450 0.9994
Pd5 0.4057 0.4074 0.8186
Pd6 0.4074 0.8186 0.4057
Pd7 0.5926 0.1814 0.5943
Pd8 0.5943 0.5926 0.1814
Pd9 0.7437 0.2550 0.0006
Pd10 0.7450 0.9994 0.2563
Pd11 0.8186 0.4057 0.4074
Pd12 0.9994 0.2563 0.7450

The 12 most intense peaks (10° ≤ 2θ ≤ 90°), low angle first:
2θ 25.99, I 15
2θ 27.63, I 8
2θ 38.28, I 100
2θ 39.46, I 35
2θ 41.67, I 29
2θ 51.65, I 6
2θ 58.77, I 11
2θ 66.82, I 10
2θ 68.44, I 10
2θ 70.75, I 16
2θ 73.88, I 6
2θ 81.91, I 6

[2]
Structure and calculated X-ray diffraction stick pattern of Tb2HgPd4 (a PBE-relaxed structure; a wavelength of 1.5418 Å).
No peak broadening, texture or thermal motion is included.

Atomic structure:
Cell lengths 4.0883, 4.0883, 18.3366 Å; angles 90.00, 90.00, 90.00 degrees
Fractional positions:
Tb1 0.0000 0.0000 0.1305
Tb2 0.0000 0.0000 0.8695
Tb3 0.5000 0.5000 0.3695
Tb4 0.5000 0.5000 0.6305
Hg1 0.0000 0.0000 0.5000
Hg2 0.5000 0.5000 0.0000
Pd1 0.0000 0.0000 0.3542
Pd2 0.0000 0.0000 0.6458
Pd3 0.0000 0.5000 0.2500
Pd4 0.0000 0.5000 0.7500
Pd5 0.5000 0.0000 0.2500
Pd6 0.5000 0.0000 0.7500
Pd7 0.5000 0.5000 0.1458
Pd8 0.5000 0.5000 0.8542

The 12 most intense peaks (10° ≤ 2θ ≤ 90°), low angle first:
2θ 26.22, I 53
2θ 30.93, I 79
2θ 32.47, I 61
2θ 32.81, I 64
2θ 36.75, I 100
2θ 39.31, I 54
2θ 43.07, I 97
2θ 44.31, I 100
2θ 60.71, I 60
2θ 64.46, I 33
2θ 78.18, I 29
2θ 80.70, I 31

[3]
Structure and calculated X-ray diffraction stick pattern of TbHgPd5 (a PBE-relaxed structure; a wavelength of 1.5418 Å).
No peak broadening, texture or thermal motion is included.

Atomic structure:
Cell lengths 7.3348, 8.9292, 5.3362 Å; angles 90.00, 90.00, 90.00 degrees
Fractional positions:
Tb1 0.0000 0.0000 0.0000
Tb2 0.5000 0.5000 0.5000
Hg1 0.0000 0.5000 0.3072
Hg2 0.5000 0.0000 0.8072
Pd1 0.0000 0.0000 0.5050
Pd2 0.0000 0.2648 0.6785
Pd3 0.0000 0.7352 0.6785
Pd4 0.1834 0.5000 0.8203
Pd5 0.3166 0.0000 0.3203
Pd6 0.5000 0.2352 0.1785
Pd7 0.5000 0.5000 0.0050
Pd8 0.5000 0.7648 0.1785
Pd9 0.6834 0.0000 0.3203
Pd10 0.8166 0.5000 0.8203

The 12 most intense peaks (10° ≤ 2θ ≤ 90°), low angle first:
2θ 19.89, I 99
2θ 24.27, I 81
2θ 28.77, I 73
2θ 31.24, I 76
2θ 37.25, I 100
2θ 39.34, I 35
2θ 40.41, I 57
2θ 42.63, I 42
2θ 45.59, I 66
2θ 46.76, I 28
2θ 47.41, I 47
2θ 47.69, I 25

What did the first record say?
Structure and calculated X-ray diffraction stick pattern of TbHg6Pd12 (a PBE-relaxed structure; a wavelength of 1.5418 Å).
No peak broadening, texture or thermal motion is included.

Atomic structure:
Cell lengths 7.2269, 7.2269, 7.2269 Å; angles 101.61, 101.61, 101.61 degrees
Fractional positions:
Tb1 0.0000 0.0000 0.0000
Hg1 0.1759 0.1784 0.4441
Hg2 0.1784 0.4441 0.1759
Hg3 0.4441 0.1759 0.1784
Hg4 0.5559 0.8241 0.8216
Hg5 0.8216 0.5559 0.8241
Hg6 0.8241 0.8216 0.5559
Pd1 0.0006 0.7437 0.2550
Pd2 0.1814 0.5943 0.5926
Pd3 0.2550 0.0006 0.7437
Pd4 0.2563 0.7450 0.9994
Pd5 0.4057 0.4074 0.8186
Pd6 0.4074 0.8186 0.4057
Pd7 0.5926 0.1814 0.5943
Pd8 0.5943 0.5926 0.1814
Pd9 0.7437 0.2550 0.0006
Pd10 0.7450 0.9994 0.2563
Pd11 0.8186 0.4057 0.4074
Pd12 0.9994 0.2563 0.7450

The 12 most intense peaks (10° ≤ 2θ ≤ 90°), low angle first:
2θ 25.99, I 15
2θ 27.63, I 8
2θ 38.28, I 100
2θ 39.46, I 35
2θ 41.67, I 29
2θ 51.65, I 6
2θ 58.77, I 11
2θ 66.82, I 10
2θ 68.44, I 10
2θ 70.75, I 16
2θ 73.88, I 6
2θ 81.91, I 6